Starting from a DFT-relaxed cell (GGA-PBE, OQMD), the powder diffractogram of CsRbZnSn was simulated for λ = 1.5418 Å (Cu Kα).
Lines closer than 0.1° are merged.

The 8 most intense peaks (5 to 70 degrees two-theta), by intensity:
| two_theta | Rel. int. |
| --- | --- |
| 28.2 | 1000 |
| 24.9 | 352 |
| 47.8 | 288 |
| 25.0 | 288 |
| 33.5 | 278 |
| 46.6 | 251 |
| 25.5 | 247 |
| 28.7 | 149 |

Atomic structure:
a = 6.996 Å, b = 7.218 Å, c = 7.218 Å
α = 70.37°, β = 90.00°, γ = 90.00°
Sites, in units of the cell vectors:
Cs  0.250  0.160  0.840
Cs  0.750  0.840  0.160
Rb  0.250  0.493  0.173
Rb  0.750  0.173  0.493
Zn  0.000  0.670  0.670
Zn  0.500  0.670  0.670
Sn  0.250  0.898  0.427
Sn  0.750  0.427  0.898